[1]
This entry pairs a crystal structure of Sr2UTe5 with its simulated powder XRD pattern. Radiation: Cu Kα. Structure: a DFT-relaxed cell (GGA-PBE, Alexandria).

Cell lengths 7.6581, 7.6581, 5.5851 Å; angles 90.00, 90.00, 90.00 degrees
Space group P4/mmm (No. 123)
Asymmetric unit:
Sr (0.0000, 0.5000, 0.0000) x2
U (0.0000, 0.0000, 0.5000) x1
Te (0.0000, 0.0000, 0.0000) x1
Te (0.2700, 0.2700, 0.5000) x4

Top 8 peaks for 5° ≤ 2θ ≤ 70°, sorted by position:
(1 0 0), 11.56 deg, I 98.0; (0 0 1), 15.87 deg, I 53.3; (1 1 1), 22.87 deg, I 41.9; (2 1 0), 26.02 deg, I 63.3; (2 0 1), 28.26 deg, I 95.2; (0 0 2), 32.05 deg, I 57.8; (2 2 0), 33.09 deg, I 100.0; (2 2 2), 46.73 deg, I 76.0

[2]
This entry pairs a crystal structure of SrY2Te4 with its simulated powder XRD pattern. Radiation: Cu Kα. Structure: a DFT-relaxed cell (GGA-PBE, Alexandria).

Cell lengths 13.7181, 4.4252, 16.0644 Å; angles 90.00, 90.00, 90.00 degrees
Space group Pnma (No. 62)
Asymmetric unit:
Sr (0.2409, 0.2500, 0.1712) x4
Y (0.0559, 0.2500, 0.3880) x4
Y (0.0872, 0.2500, 0.9069) x4
Te (0.0339, 0.7500, 0.7854) x4
Te (0.0957, 0.2500, 0.5759) x4
Te (0.1287, 0.7500, 0.0370) x4
Te (0.2024, 0.7500, 0.3310) x4

Top 8 peaks for 5° ≤ 2θ ≤ 70°, sorted by position:
(0 1 3), 26.12 deg, I 67.6; (1 1 3), 26.93 deg, I 87.1; (4 0 2), 28.30 deg, I 59.9; (3 1 1), 28.60 deg, I 100.0; (2 1 4), 32.80 deg, I 58.2; (4 1 1), 33.53 deg, I 36.8; (0 2 0), 40.78 deg, I 60.9; (2 1 6), 41.55 deg, I 41.9

[3]
This entry pairs a crystal structure of SrY4Te6 with its simulated powder XRD pattern. Radiation: Cu Kα. Structure: a DFT-relaxed cell (GGA-PBE, Alexandria).

Cell lengths 4.3920, 14.3886, 22.6588 Å; angles 90.00, 90.00, 90.00 degrees
Space group Cmcm (No. 63)
Asymmetric unit:
Sr (0.0000, 0.1593, 0.2500) x4
Y (0.0000, 0.0905, 0.6264) x8
Y (0.0000, 0.3592, 0.5373) x8
Te (0.0000, 0.0000, 0.0000) x4
Te (0.0000, 0.1712, 0.7500) x4
Te (0.0000, 0.2686, 0.0885) x8
Te (0.0000, 0.4519, 0.6602) x8

Top 8 peaks for 5° ≤ 2θ ≤ 70°, sorted by position:
(0 2 6), 26.66 deg, I 77.7; (1 3 1), 27.82 deg, I 54.6; (1 3 2), 28.66 deg, I 100.0; (1 3 3), 30.02 deg, I 54.8; (1 1 8), 38.33 deg, I 30.0; (1 5 4), 40.73 deg, I 30.8; (2 0 0), 41.10 deg, I 39.3; (2 2 6), 49.67 deg, I 29.0

[4]
This entry pairs a crystal structure of SrYTe with its simulated powder XRD pattern. Radiation: Cu Kα. Structure: a DFT-relaxed cell (GGA-PBE, Alexandria).

Cell lengths 4.2212, 4.2212, 7.3127 Å; angles 90.00, 90.00, 120.00 degrees
Space group P3m1 (No. 156)
Asymmetric unit:
Sr (0.0000, 0.0000, 0.0000) x1
Y (0.6667, 0.3333, 0.5633) x1
Te (0.3333, 0.6667, 0.3084) x1

Top 8 peaks for 5° ≤ 2θ ≤ 70°, sorted by position:
(0 0 1), 12.10 deg, I 20.7; (0 1 1), 27.27 deg, I 100.0; (1 0 2), 34.70 deg, I 55.2; (1 1 0), 42.85 deg, I 30.9; (1 0 3), 44.68 deg, I 18.9; (2 0 1), 51.54 deg, I 16.8; (0 2 2), 56.27 deg, I 19.2; (1 2 1), 69.19 deg, I 20.1

[5]
This entry pairs a crystal structure of SrZn4Te with its simulated powder XRD pattern. Radiation: Cu Kα. Structure: a DFT-relaxed cell (GGA-PBE, Alexandria).

Cell lengths 8.1487, 8.1487, 8.1487 Å; angles 90.00, 90.00, 90.00 degrees
Space group F-43m (No. 216)
Asymmetric unit:
Sr (0.0000, 0.0000, 0.0000) x4
Zn (0.1243, 0.1243, 0.3757) x16
Te (0.2500, 0.2500, 0.7500) x4

Top 8 peaks for 5° ≤ 2θ ≤ 70°, sorted by position:
(1 1 1), 18.86 deg, I 1.6; (2 0 0), 21.81 deg, I 1.2; (2 2 0), 31.04 deg, I 40.5; (3 1 1), 36.57 deg, I 100.0; (2 2 2), 38.26 deg, I 28.3; (4 2 2), 55.22 deg, I 15.6; (3 3 3), 58.89 deg, I 32.1; (4 4 0), 64.71 deg, I 25.6

[6]
This entry pairs a crystal structure of SrZr4Te8 with its simulated powder XRD pattern. Radiation: Cu Kα. Structure: a DFT-relaxed cell (GGA-PBE, Alexandria).

Cell lengths 13.9056, 8.0373, 10.6886 Å; angles 90.00, 130.00, 90.00 degrees
Space group C2/m (No. 12)
Asymmetric unit:
Sr (0.0000, 0.0000, 0.0000) x2
Zr (0.0000, 0.2606, 0.5000) x4
Zr (0.2467, 0.5000, 0.5008) x4
Te (0.0246, 0.0000, 0.7130) x4
Te (0.0265, 0.5000, 0.7237) x4
Te (0.2257, 0.2551, 0.2799) x8

Top 8 peaks for 5° ≤ 2θ ≤ 70°, sorted by position:
(0 0 1), 10.81 deg, I 81.2; (4 0 -1), 27.78 deg, I 40.9; (2 2 0), 27.81 deg, I 33.8; (2 2 -2), 27.92 deg, I 100.0; (4 0 0), 33.67 deg, I 53.6; (2 2 -3), 33.90 deg, I 70.3; (2 2 2), 41.97 deg, I 41.4; (6 2 -3), 45.15 deg, I 64.8

[7]
This entry pairs a crystal structure of Sr3Tl with its simulated powder XRD pattern. Radiation: Cu Kα. Structure: a DFT-relaxed cell (GGA-PBE, Alexandria).

Cell lengths 14.2408, 14.2408, 6.9815 Å; angles 90.00, 90.00, 90.00 degrees
Space group P4_2/n (No. 86, origin choice 2)
Asymmetric unit:
Sr (0.0269, 0.5784, 0.2369) x8
Sr (0.1160, 0.2140, 0.0224) x8
Sr (0.1350, 0.6672, 0.7338) x8
Tl (0.0428, 0.2031, 0.5220) x8

Top 8 peaks for 5° ≤ 2θ ≤ 70°, sorted by position:
(2 0 1), 17.79 deg, I 100.0; (1 1 2), 27.03 deg, I 70.7; (2 4 0), 28.02 deg, I 78.0; (4 1 1), 28.84 deg, I 60.3; (2 2 2), 31.18 deg, I 67.3; (5 1 0), 32.05 deg, I 70.2; (1 3 2), 32.45 deg, I 98.0; (1 5 1), 34.59 deg, I 57.2

[8]
This entry pairs a crystal structure of Sr5Tl2 with its simulated powder XRD pattern. Radiation: Cu Kα. Structure: a DFT-relaxed cell (GGA-PBE, Alexandria).

Cell lengths 8.4523, 17.3589, 7.7927 Å; angles 90.00, 90.00, 90.00 degrees
Space group Ibam (No. 72)
Asymmetric unit:
Sr (0.0000, 0.0000, 0.2500) x4
Sr (0.0000, 0.2304, 0.2500) x8
Sr (0.1448, 0.4166, 0.0000) x8
Tl (0.2477, 0.3780, 0.5000) x8

Top 8 peaks for 5° ≤ 2θ ≤ 70°, sorted by position:
(1 2 1), 18.56 deg, I 91.2; (1 1 2), 25.70 deg, I 29.2; (2 4 0), 29.50 deg, I 86.9; (0 4 2), 30.85 deg, I 100.0; (2 0 2), 31.22 deg, I 85.2; (1 6 1), 34.74 deg, I 40.1; (3 2 1), 35.42 deg, I 53.5; (2 4 4), 56.14 deg, I 28.7